The following is a simulated powder XRD pattern of Ce2SmAg2Ge2. It was derived from DFT lattice parameters and positions (GGA-PBE), using CuKα.
Lines closer than 0.1° are merged.

Atomic structure:
```
Ce2SmAg2Ge2
1.0
2.2444 1.2958 9.0332
-2.2444 1.2958 9.0332
0.0000 -2.5916 9.0332
Ce Sm Ag Ge
2 1 2 2
Direct
0.1422 0.1422 0.1422 Ce
0.8578 0.8578 0.8578 Ce
0.0000 0.0000 0.0000 Sm
0.4074 0.4074 0.4074 Ag
0.5926 0.5926 0.5926 Ag
0.2629 0.2629 0.2629 Ge
0.7371 0.7371 0.7371 Ge
```

Most intense lines, 2θ from 10° to 80°, low angle first:
| 2θ (°) | Rel. int. |
| --- | --- |
| 28.3 | 21 |
| 32.6 | 100 |
| 35.1 | 38 |
| 40.2 | 88 |
| 52.7 | 25 |
| 54.4 | 11 |
| 66.4 | 25 |
| 68.3 | 23 |
| 69.8 | 10 |
| 73.0 | 15 |



The following is a simulated powder XRD pattern of Ba3InAs3. It was derived from DFT lattice parameters and positions (GGA-PBE), using CuKα.
Lines closer than 0.1° are merged.

Atomic structure:
```
Ba3InAs3
1.0
14.2492 0.0000 0.0000
0.0000 4.6618 0.0000
0.0000 0.0000 14.7036
Ba In As
12 4 12
Direct
0.0815 0.2500 0.1072 Ba
0.1321 0.7500 0.5063 Ba
0.2196 0.7500 0.8011 Ba
0.2804 0.2500 0.3011 Ba
0.3679 0.2500 0.0063 Ba
0.4185 0.7500 0.6072 Ba
0.5815 0.2500 0.3928 Ba
0.6321 0.7500 0.9937 Ba
0.7196 0.7500 0.6989 Ba
0.7804 0.2500 0.1989 Ba
0.8679 0.2500 0.4937 Ba
0.9185 0.7500 0.8928 Ba
0.0513 0.2500 0.7041 In
0.4487 0.7500 0.2041 In
0.5513 0.2500 0.7959 In
0.9487 0.7500 0.2959 In
0.0461 0.2500 0.3500 As
0.0834 0.2500 0.8852 As
0.2305 0.2500 0.6301 As
0.2695 0.7500 0.1301 As
0.4166 0.7500 0.3852 As
0.4539 0.7500 0.8500 As
0.5461 0.2500 0.1500 As
0.5834 0.2500 0.6148 As
0.7305 0.2500 0.8699 As
0.7695 0.7500 0.3699 As
0.9166 0.7500 0.1148 As
0.9539 0.7500 0.6500 As
```

Most intense lines, 2θ from 10° to 80°, low angle first:
| 2θ (°) | Rel. int. |
| --- | --- |
| 26.1 | 45 |
| 27.1 | 98 |
| 27.5 | 96 |
| 27.8 | 47 |
| 29.3 | 61 |
| 31.1 | 65 |
| 31.6 | 100 |
| 33.5 | 92 |
| 38.6 | 77 |
| 48.6 | 39 |



The following is a simulated powder XRD pattern of Ac4Co2Ag. It was derived from DFT lattice parameters and positions (GGA-PBE), using CuKα.
Lines closer than 0.1° are merged.

Atomic structure:
```
Ac4Co2Ag
1.0
2.1458 -6.9942 0.0000
2.1458 6.9942 0.0000
0.0000 0.0000 14.4607
Ac Co Ag
8 4 2
Direct
0.0000 0.0000 0.0000 Ac
0.0000 0.0000 0.5000 Ac
0.2675 0.7325 0.6085 Ac
0.2675 0.7325 0.8915 Ac
0.4347 0.5653 0.2500 Ac
0.5653 0.4347 0.7500 Ac
0.7325 0.2675 0.1085 Ac
0.7325 0.2675 0.3915 Ac
0.3703 0.6297 0.0641 Co
0.3703 0.6297 0.4359 Co
0.6297 0.3703 0.5641 Co
0.6297 0.3703 0.9359 Co
0.1143 0.8857 0.2500 Ag
0.8857 0.1143 0.7500 Ag
```

Most intense lines, 2θ from 10° to 80°, low angle first:
| 2θ (°) | Rel. int. |
| --- | --- |
| 25.0 | 29 |
| 27.8 | 94 |
| 28.3 | 33 |
| 28.6 | 63 |
| 28.9 | 100 |
| 30.9 | 49 |
| 42.1 | 32 |
| 42.9 | 32 |
| 51.2 | 36 |
| 53.0 | 26 |